Na5LiFe2P2C2O14: theoretical powder XRD pattern (Cu Kα, 1.54184 Å), based on a structure optimized by DFT (PBE+U).
Lines closer than 0.1° are merged.

Top 6 peaks for 10 to 80 degrees two-theta, by intensity:
(2 0 0), 26.9 deg, rel. 100; (0 0 4), 34.3 deg, rel. 69; (2 -2 0), 33.2 deg, rel. 37; (0 1 -2), 19.5 deg, rel. 33; (0 2 -2), 26.0 deg, rel. 31; (4 0 0), 55.4 deg, rel. 29

Structural model:
Lattice parameters (Å, degrees): 6.636 8.921 10.445 91.04 90.43 91.61
Positions (direct):
Na (0.002, 0.262, 0.377)
Na (0.006, 0.737, 0.126)
Na (0.261, 0.079, 0.117)
Na (0.262, 0.085, 0.620)
Na (0.497, 0.261, 0.377)
Na (0.503, 0.739, 0.623)
Na (0.738, 0.915, 0.380)
Na (0.739, 0.921, 0.883)
Na (0.994, 0.263, 0.874)
Na (0.998, 0.738, 0.623)
Li (0.458, 0.297, 0.895)
Li (0.542, 0.703, 0.105)
Fe (0.252, 0.653, 0.893)
Fe (0.256, 0.648, 0.387)
Fe (0.744, 0.352, 0.613)
Fe (0.748, 0.347, 0.107)
P (0.249, 0.416, 0.652)
P (0.256, 0.419, 0.146)
P (0.744, 0.581, 0.854)
P (0.751, 0.584, 0.348)
C (0.252, 0.943, 0.362)
C (0.259, 0.950, 0.863)
C (0.741, 0.050, 0.137)
C (0.748, 0.057, 0.638)
O (0.058, 0.317, 0.620)
O (0.060, 0.333, 0.103)
O (0.240, 0.087, 0.355)
O (0.242, 0.569, 0.584)
O (0.245, 0.876, 0.970)
O (0.255, 0.859, 0.259)
O (0.261, 0.434, 0.295)
O (0.262, 0.879, 0.474)
O (0.264, 0.442, 0.801)
O (0.264, 0.872, 0.757)
O (0.267, 0.095, 0.865)
O (0.277, 0.578, 0.088)
O (0.431, 0.323, 0.607)
O (0.432, 0.318, 0.100)
O (0.568, 0.682, 0.900)
O (0.569, 0.677, 0.393)
O (0.723, 0.422, 0.912)
O (0.733, 0.905, 0.135)
O (0.736, 0.128, 0.243)
O (0.736, 0.558, 0.199)
O (0.738, 0.121, 0.526)
O (0.739, 0.566, 0.705)
O (0.745, 0.141, 0.741)
O (0.755, 0.124, 0.030)
O (0.758, 0.431, 0.416)
O (0.760, 0.913, 0.645)
O (0.940, 0.667, 0.897)
O (0.942, 0.683, 0.380)